# 1
Structure and calculated powder diffraction line list of Mg2Al12Cu7 (a DFT-relaxed cell (GGA-PBE, Alexandria); CuKα).

Crystal structure
```
Mg2Al12Cu7
1.0
10.820 0.000 0.000
-5.410 9.370 0.000
0.000 0.000 3.152
Mg Al Cu
2 12 7
Cartesian
0.000 0.000 0.000 Mg
0.000 6.247 1.576 Mg
-3.690 7.358 1.576 Al
-0.957 3.787 0.000 Al
0.883 2.495 1.576 Al
-1.652 8.306 0.000 Al
3.088 2.243 0.000 Al
5.020 0.922 1.576 Al
3.698 4.562 1.576 Al
2.609 6.648 0.000 Al
2.808 8.887 1.576 Al
7.334 1.553 0.000 Al
5.808 5.574 0.000 Al
7.511 3.887 1.576 Al
-2.405 5.820 0.000 Cu
2.374 0.409 1.576 Cu
1.572 4.378 0.000 Cu
0.833 8.543 0.000 Cu
5.410 3.123 0.000 Cu
4.577 7.110 1.576 Cu
9.279 1.852 1.576 Cu
```

Top 10 peaks for 15 to 90 degrees two-theta, in order of falling intensity:
44.3°, rel. 100; 38.2°, rel. 81; 25.1°, rel. 76; 45.2°, rel. 41; 76.3°, rel. 36; 29.9°, rel. 28; 40.7°, rel. 25; 51.5°, rel. 20; 32.9°, rel. 20; 34.3°, rel. 19


# 2
Structure and calculated powder diffraction line list of Mg16Al12Cu (a DFT-relaxed cell (GGA-PBE, Alexandria); CuKα).

Crystal structure
```
Mg16Al12Cu
1.0
5.229 -7.370 0.000
5.229 7.370 0.000
-5.157 0.000 7.417
Mg Al Cu
16 12 1
Cartesian
0.000 0.000 0.000 Mg
-1.435 2.341 4.477 Mg
1.865 2.557 0.014 Mg
1.513 4.400 2.403 Mg
-1.730 0.000 2.618 Mg
1.549 2.838 5.142 Mg
-1.435 -2.341 4.477 Mg
-0.305 1.926 7.373 Mg
1.865 -2.557 0.014 Mg
3.780 2.283 3.005 Mg
-0.305 -1.926 7.373 Mg
1.513 -4.400 2.403 Mg
3.114 0.000 4.941 Mg
1.549 -2.838 5.142 Mg
5.722 0.000 2.207 Mg
3.780 -2.283 3.005 Mg
0.986 6.002 4.763 Al
-0.867 4.636 6.108 Al
0.983 1.353 2.769 Al
-2.211 0.000 6.025 Al
4.346 4.611 1.421 Al
2.897 0.000 1.326 Al
0.983 -1.353 2.769 Al
-0.867 -4.636 6.108 Al
7.645 1.345 0.125 Al
0.986 -6.002 4.763 Al
4.346 -4.611 1.421 Al
7.645 -1.345 0.125 Al
0.091 0.000 4.838 Cu
```

Top 10 peaks for 15 to 90 degrees two-theta, in order of falling intensity:
36.5°, rel. 100; 36.3°, rel. 69; 40.6°, rel. 43; 36.6°, rel. 34; 44.3°, rel. 16; 65.7°, rel. 16; 65.6°, rel. 14; 40.2°, rel. 11; 44.1°, rel. 11; 65.8°, rel. 11


# 3
Structure and calculated powder diffraction line list of MgAl6Cu3 (a DFT-relaxed cell (GGA-PBE, Alexandria); CuKα).

Crystal structure
```
MgAl6Cu3
1.0
8.250 0.000 0.000
0.000 3.946 0.000
-2.064 0.000 9.933
Mg Al Cu
2 12 6
Cartesian
-0.441 0.986 2.637 Mg
6.627 2.959 7.296 Mg
-1.204 0.986 9.472 Al
0.805 2.959 4.333 Al
1.589 2.959 1.718 Al
1.160 2.959 7.040 Al
3.342 0.986 0.725 Al
2.442 0.986 5.725 Al
3.744 2.959 4.208 Al
2.844 2.959 9.209 Al
5.025 0.986 2.893 Al
4.597 0.986 8.215 Al
5.381 0.986 5.600 Al
7.390 2.959 0.462 Al
-0.241 0.986 5.642 Cu
0.352 2.959 9.337 Cu
2.373 0.986 3.177 Cu
3.813 2.959 6.756 Cu
5.834 0.986 0.596 Cu
6.427 2.959 4.291 Cu
```

Top 10 peaks for 15 to 90 degrees two-theta, in order of falling intensity:
40.6°, rel. 100; 43.0°, rel. 96; 27.5°, rel. 80; 46.0°, rel. 61; 26.9°, rel. 50; 35.4°, rel. 46; 22.0°, rel. 41; 44.3°, rel. 33; 41.6°, rel. 32; 47.7°, rel. 27


# 4
Structure and calculated powder diffraction line list of MgAl2Cu5 (a DFT-relaxed cell (GGA-PBE, Alexandria); CuKα).

Crystal structure
```
MgAl2Cu5
1.0
-1.363 4.008 5.043
1.363 -4.008 5.043
1.363 4.008 -5.043
Mg Al Cu
1 2 5
Cartesian
0.000 0.000 0.000 Mg
1.363 0.000 2.583 Al
0.000 4.008 2.461 Al
1.363 2.154 -1.313 Cu
1.363 2.154 1.313 Cu
0.000 4.008 0.000 Cu
0.000 1.854 3.731 Cu
0.000 1.854 6.356 Cu
```

Top 10 peaks for 15 to 90 degrees two-theta, in order of falling intensity:
41.0°, rel. 100; 42.3°, rel. 99; 42.7°, rel. 51; 45.2°, rel. 37; 64.0°, rel. 24; 84.3°, rel. 23; 22.2°, rel. 22; 75.4°, rel. 19; 56.8°, rel. 16; 78.8°, rel. 15


# 5
Structure and calculated powder diffraction line list of Mg2Al5Cu6 (a DFT-relaxed cell (GGA-PBE, Alexandria); CuKα).

Crystal structure
```
Mg2Al5Cu6
1.0
8.275 0.000 0.000
0.000 8.275 0.000
0.000 0.000 8.275
Mg Al Cu
6 15 18
Cartesian
0.000 1.480 4.137 Mg
0.000 6.795 4.137 Mg
1.480 4.137 0.000 Mg
4.137 0.000 1.480 Mg
4.137 0.000 6.795 Mg
6.795 4.137 0.000 Mg
0.000 0.000 0.000 Al
0.000 4.137 2.766 Al
0.000 4.137 5.509 Al
2.336 2.336 2.336 Al
2.336 2.336 5.939 Al
2.336 5.939 2.336 Al
2.336 5.939 5.939 Al
2.766 0.000 4.137 Al
4.137 2.766 0.000 Al
4.137 5.509 0.000 Al
5.509 0.000 4.137 Al
5.939 2.336 2.336 Al
5.939 2.336 5.939 Al
5.939 5.939 2.336 Al
5.939 5.939 5.939 Al
0.000 2.117 1.369 Cu
0.000 2.117 6.906 Cu
0.000 6.158 1.369 Cu
0.000 6.158 6.906 Cu
1.369 0.000 2.117 Cu
1.369 0.000 6.158 Cu
2.117 1.369 0.000 Cu
2.117 6.906 0.000 Cu
2.241 4.137 4.137 Cu
4.137 2.241 4.137 Cu
4.137 4.137 2.241 Cu
4.137 4.137 6.034 Cu
4.137 6.034 4.137 Cu
6.034 4.137 4.137 Cu
6.158 1.369 0.000 Cu
6.158 6.906 0.000 Cu
6.906 0.000 2.117 Cu
6.906 0.000 6.158 Cu
```

Top 10 peaks for 15 to 90 degrees two-theta, in order of falling intensity:
45.2°, rel. 100; 15.1°, rel. 53; 40.8°, rel. 48; 43.8°, rel. 46; 39.3°, rel. 37; 24.0°, rel. 24; 46.6°, rel. 19; 49.2°, rel. 18; 32.5°, rel. 18; 81.4°, rel. 16


# 6
Structure and calculated powder diffraction line list of Mg14AlCuO16 (a DFT-relaxed cell (GGA-PBE, Alexandria); CuKα).

Crystal structure
```
Mg14AlCuO16
1.0
4.223 0.000 0.000
0.000 8.505 0.000
0.000 0.000 8.575
Mg Al Cu O
14 1 1 16
Cartesian
0.000 0.000 0.000 Mg
0.000 0.000 4.288 Mg
0.000 2.146 2.104 Mg
0.000 2.146 6.471 Mg
0.000 6.359 2.104 Mg
0.000 6.359 6.471 Mg
2.112 0.000 2.127 Mg
2.112 0.000 6.449 Mg
2.112 2.129 4.288 Mg
2.112 2.151 0.000 Mg
2.112 4.253 2.100 Mg
2.112 4.253 6.475 Mg
2.112 6.354 0.000 Mg
2.112 6.376 4.288 Mg
0.000 4.253 4.288 Al
0.000 4.253 0.000 Cu
0.000 0.000 2.195 O
0.000 0.000 6.380 O
0.000 2.024 0.000 O
0.000 2.237 4.288 O
0.000 4.253 2.447 O
0.000 4.253 6.128 O
0.000 6.268 4.288 O
0.000 6.481 0.000 O
2.112 0.000 0.000 O
2.112 0.000 4.288 O
2.112 2.138 2.149 O
2.112 2.138 6.426 O
2.112 4.253 0.000 O
2.112 4.253 4.288 O
2.112 6.367 2.149 O
2.112 6.367 6.426 O
```

Top 10 peaks for 15 to 90 degrees two-theta, in order of falling intensity:
42.5°, rel. 100; 42.2°, rel. 100; 42.8°, rel. 99; 61.9°, rel. 56; 61.4°, rel. 55; 61.7°, rel. 55; 77.8°, rel. 50; 36.6°, rel. 48; 73.4°, rel. 11; 73.9°, rel. 10


# 7
Structure and calculated powder diffraction line list of Mg14AlCuO16 (a DFT-relaxed cell (GGA-PBE, Alexandria); CuKα).

Crystal structure
```
Mg14AlCuO16
1.0
8.549 0.000 0.000
0.000 8.549 0.000
0.000 0.000 4.223
Mg Al Cu O
14 1 1 16
Cartesian
0.000 2.097 0.000 Mg
0.000 4.274 2.112 Mg
0.000 6.451 0.000 Mg
2.097 0.000 0.000 Mg
2.091 2.091 2.112 Mg
2.091 6.458 2.112 Mg
2.122 4.274 0.000 Mg
4.274 0.000 2.112 Mg
4.274 2.122 0.000 Mg
4.274 6.427 0.000 Mg
6.427 4.274 0.000 Mg
6.451 0.000 0.000 Mg
6.458 2.091 2.112 Mg
6.458 6.458 2.112 Mg
4.274 4.274 2.112 Al
0.000 0.000 2.112 Cu
0.000 0.000 0.000 O
0.000 2.304 2.112 O
0.000 4.274 0.000 O
0.000 6.244 2.112 O
2.144 2.144 0.000 O
2.144 6.405 0.000 O
2.304 0.000 2.112 O
2.328 4.274 2.112 O
4.274 0.000 0.000 O
4.274 2.328 2.112 O
4.274 4.274 0.000 O
4.274 6.221 2.112 O
6.221 4.274 2.112 O
6.244 0.000 2.112 O
6.405 2.144 0.000 O
6.405 6.405 0.000 O
```

Top 10 peaks for 15 to 90 degrees two-theta, in order of falling intensity:
42.3°, rel. 100; 61.8°, rel. 55; 42.8°, rel. 49; 61.3°, rel. 28; 77.7°, rel. 25; 36.6°, rel. 24; 73.6°, rel. 10; 43.8°, rel. 5; 74.3°, rel. 5; 25.7°, rel. 3